For Pr2CoCN2O4, a GGA+U-relaxed structure gives the theoretical X-ray diffraction stick pattern in this record (Cu Kα X-rays).
Intensities are scaled so that the largest is 100.

Principal peaks in the range 15° ≤ 2θ ≤ 90°, low angle first:
| 2θ (°) | d [Å] | intensity |
| --- | --- | --- |
| 18.90 | 4.696 | 51.3 |
| 27.50 | 3.244 | 68.4 |
| 27.75 | 3.215 | 100.0 |
| 28.92 | 3.088 | 57.4 |
| 30.05 | 2.974 | 63.4 |
| 30.58 | 2.923 | 56.3 |

a = 6.522 Å, b = 6.712 Å, c = 6.864 Å
α = 83.49°, β = 70.99°, γ = 73.45°
Positions (direct):
Pr 0.038 0.181 0.220
Pr 0.432 0.257 0.662
Pr 0.568 0.743 0.338
Pr 0.962 0.819 0.780
Co 0.459 0.786 0.821
Co 0.541 0.214 0.179
C 0.071 0.679 0.303
C 0.929 0.321 0.697
N 0.015 0.432 0.759
N 0.148 0.797 0.368
N 0.852 0.203 0.632
N 0.985 0.568 0.241
O 0.211 0.998 0.887
O 0.341 0.112 0.389
O 0.371 0.626 0.686
O 0.383 0.287 0.009
O 0.617 0.713 0.991
O 0.629 0.374 0.314
O 0.659 0.888 0.611
O 0.789 0.002 0.113